This entry pairs a crystal structure of AcY2F8 with its computed powder diffraction line list. Radiation: copper Kα. Structure: a structure optimized by DFT (PBE).

Peak list (10 most intense, 2θ = 10–80°, by angle)
2θ 15.51, intensity 60; 2θ 23.56, intensity 100; 2θ 26.31, intensity 76; 2θ 27.32, intensity 88; 2θ 28.44, intensity 94; 2θ 29.34, intensity 56; 2θ 40.35, intensity 45; 2θ 41.03, intensity 46; 2θ 47.77, intensity 44; 2θ 48.40, intensity 34

Cell and atoms:
```
AcY2F8
1.0
3.513 -5.313 0.000
3.513 5.313 0.000
-1.137 0.000 4.138
Ac Y F
1 2 8
Direct
0.000 0.000 0.000
0.320 0.680 0.500
0.680 0.320 0.500
0.057 0.316 0.572
0.243 0.757 0.000
0.316 0.057 0.572
0.379 0.379 0.205
0.621 0.621 0.795
0.684 0.943 0.428
0.757 0.243 0.000
0.943 0.684 0.428
```

=====

This entry pairs a crystal structure of AcZn2F8 with its computed powder diffraction line list. Radiation: copper Kα. Structure: a structure optimized by DFT (PBE).

Peak list (10 most intense, 2θ = 10–80°, by angle)
2θ 17.56, intensity 100; 2θ 27.30, intensity 92; 2θ 28.27, intensity 27; 2θ 31.81, intensity 17; 2θ 36.56, intensity 33; 2θ 43.06, intensity 24; 2θ 45.21, intensity 35; 2θ 45.60, intensity 14; 2θ 53.27, intensity 13; 2θ 53.96, intensity 26

Cell and atoms:
```
AcZn2F8
1.0
-2.814 2.814 5.721
2.814 -2.814 5.721
2.814 2.814 -5.721
Ac Zn F
1 2 8
Direct
0.000 0.000 0.000
0.250 0.750 0.500
0.750 0.250 0.500
0.026 0.552 0.847
0.179 0.026 0.474
0.296 0.448 0.474
0.448 0.974 0.153
0.552 0.704 0.526
0.704 0.179 0.153
0.821 0.296 0.847
0.974 0.821 0.526
```

=====

This entry pairs a crystal structure of Ac2GaFePt6 with its computed powder diffraction line list. Radiation: copper Kα. Structure: a structure optimized by DFT (PBE).

Peak list (10 most intense, 2θ = 10–80°, by angle)
2θ 14.31, intensity 23; 2θ 28.18, intensity 74; 2θ 28.85, intensity 86; 2θ 37.97, intensity 100; 2θ 38.63, intensity 66; 2θ 40.02, intensity 75; 2θ 40.93, intensity 46; 2θ 43.72, intensity 22; 2θ 47.23, intensity 27; 2θ 56.82, intensity 43

Cell and atoms:
```
Ac2GaFePt6
1.0
6.191 -2.786 0.000
6.191 2.786 0.000
-5.835 0.000 6.197
Ac Ga Fe Pt
2 1 1 6
Direct
0.248 0.248 0.206
0.752 0.752 0.794
0.000 0.000 0.500
0.500 0.500 0.000
0.243 0.743 0.746
0.250 0.250 0.611
0.257 0.757 0.254
0.743 0.243 0.746
0.750 0.750 0.389
0.757 0.257 0.254
```

=====

This entry pairs a crystal structure of Ac2FeGe2H4 with its computed powder diffraction line list. Radiation: copper Kα. Structure: a structure optimized by DFT (PBE).

Peak list (10 most intense, 2θ = 10–80°, by angle)
2θ 20.08, intensity 28; 2θ 24.53, intensity 34; 2θ 28.55, intensity 100; 2θ 31.91, intensity 66; 2θ 37.99, intensity 47; 2θ 40.82, intensity 39; 2θ 48.20, intensity 24; 2θ 52.72, intensity 33; 2θ 54.68, intensity 18; 2θ 66.92, intensity 18

Cell and atoms:
```
Ac2FeGe2H4
1.0
-3.126 3.126 3.629
3.126 -3.126 3.629
3.126 3.126 -3.629
Ac Fe Ge H
2 1 2 4
Direct
0.250 0.750 0.500
0.750 0.250 0.500
0.000 0.000 0.000
0.336 0.336 0.000
0.664 0.664 0.000
0.184 0.184 0.368
0.184 0.816 0.000
0.816 0.184 0.000
0.816 0.816 0.632
```

=====

This entry pairs a crystal structure of Ac2FeH6 with its computed powder diffraction line list. Radiation: copper Kα. Structure: a structure optimized by DFT (PBE).

Peak list (10 most intense, 2θ = 10–80°, by angle)
2θ 20.27, intensity 4; 2θ 23.45, intensity 69; 2θ 33.40, intensity 100; 2θ 41.21, intensity 23; 2θ 47.96, intensity 19; 2θ 54.05, intensity 31; 2θ 59.70, intensity 39; 2θ 70.16, intensity 12; 2θ 75.12, intensity 15; 2θ 79.97, intensity 17

Cell and atoms:
```
Ac2FeH6
1.0
0.000 3.794 3.794
3.794 0.000 3.794
3.794 3.794 0.000
Ac Fe H
2 1 6
Direct
0.250 0.250 0.250
0.750 0.750 0.750
0.000 0.000 0.000
0.219 0.219 0.781
0.219 0.781 0.219
0.219 0.781 0.781
0.781 0.219 0.219
0.781 0.219 0.781
0.781 0.781 0.219
```

=====

This entry pairs a crystal structure of NaAcFeH6 with its computed powder diffraction line list. Radiation: copper Kα. Structure: a structure optimized by DFT (PBE).

Peak list (10 most intense, 2θ = 10–80°, by angle)
2θ 19.95, intensity 24; 2θ 20.83, intensity 59; 2θ 29.00, intensity 100; 2θ 36.50, intensity 41; 2θ 41.94, intensity 22; 2θ 46.01, intensity 28; 2θ 47.28, intensity 28; 2θ 60.11, intensity 13; 2θ 61.16, intensity 25; 2θ 72.41, intensity 15

Cell and atoms:
```
NaAcFeH6
1.0
4.923 0.000 0.000
-2.462 4.264 0.000
0.000 0.000 4.450
Na Ac Fe H
1 1 1 6
Direct
0.000 0.000 0.000
0.667 0.333 0.510
0.333 0.667 0.808
0.015 0.507 0.011
0.181 0.362 0.598
0.181 0.819 0.598
0.493 0.507 0.011
0.493 0.985 0.011
0.638 0.819 0.598
```

=====

This entry pairs a crystal structure of Ac2FeNiH6 with its computed powder diffraction line list. Radiation: copper Kα. Structure: a structure optimized by DFT (PBE).

Peak list (10 most intense, 2θ = 10–80°, by angle)
2θ 23.25, intensity 18; 2θ 23.39, intensity 36; 2θ 33.22, intensity 100; 2θ 33.32, intensity 50; 2θ 41.03, intensity 19; 2θ 47.84, intensity 19; 2θ 53.88, intensity 17; 2θ 59.29, intensity 19; 2θ 59.49, intensity 38; 2θ 79.71, intensity 12

Cell and atoms:
```
Ac2FeNiH6
1.0
3.802 -3.804 0.000
3.802 3.804 0.000
-3.799 0.000 3.825
Ac Fe Ni H
2 1 1 6
Direct
0.250 0.750 0.000
0.750 0.250 0.000
0.000 0.000 0.500
0.500 0.500 0.500
0.221 0.221 0.943
0.223 0.223 0.498
0.223 0.777 0.500
0.777 0.223 0.500
0.777 0.777 0.502
0.779 0.779 0.057
```

=====

This entry pairs a crystal structure of Ac2FeH6Pd with its computed powder diffraction line list. Radiation: copper Kα. Structure: a structure optimized by DFT (PBE).

Peak list (10 most intense, 2θ = 10–80°, by angle)
2θ 22.90, intensity 31; 2θ 23.15, intensity 15; 2θ 32.64, intensity 100; 2θ 32.81, intensity 99; 2θ 40.37, intensity 16; 2θ 46.68, intensity 13; 2θ 58.17, intensity 13; 2θ 58.31, intensity 26; 2θ 58.40, intensity 13; 2θ 58.59, intensity 13

Cell and atoms:
```
Ac2FeH6Pd
1.0
3.842 -3.876 0.000
3.842 3.876 0.000
-3.831 0.000 3.892
Ac Fe H Pd
2 1 6 1
Direct
0.250 0.750 0.000
0.750 0.250 0.000
0.499 0.499 0.500
0.283 0.283 0.503
0.285 0.714 0.500
0.287 0.287 0.074
0.712 0.712 0.926
0.714 0.285 0.500
0.715 0.715 0.497
0.004 0.004 0.500
```

=====

Repeat the third record exactly.
This entry pairs a crystal structure of Ac2GaFePt6 with its computed powder diffraction line list. Radiation: copper Kα. Structure: a structure optimized by DFT (PBE).

Peak list (10 most intense, 2θ = 10–80°, by angle)
2θ 14.31, intensity 23; 2θ 28.18, intensity 74; 2θ 28.85, intensity 86; 2θ 37.97, intensity 100; 2θ 38.63, intensity 66; 2θ 40.02, intensity 75; 2θ 40.93, intensity 46; 2θ 43.72, intensity 22; 2θ 47.23, intensity 27; 2θ 56.82, intensity 43

Cell and atoms:
```
Ac2GaFePt6
1.0
6.191 -2.786 0.000
6.191 2.786 0.000
-5.835 0.000 6.197
Ac Ga Fe Pt
2 1 1 6
Direct
0.248 0.248 0.206
0.752 0.752 0.794
0.000 0.000 0.500
0.500 0.500 0.000
0.243 0.743 0.746
0.250 0.250 0.611
0.257 0.757 0.254
0.743 0.243 0.746
0.750 0.750 0.389
0.757 0.257 0.254
```